# K2PaWN4
Simulated powder XRD pattern, λ = 1.5418 Å (Cu Kα). Input: a structure optimized by DFT (GGA-PBE).

abc: 6.2174 6.2174 6.2174
angles: 121.68 121.68 87.12
Positions (direct):
K 0.0000 0.0000 0.0000
K 0.7500 0.2500 0.5000
Pa 0.5000 0.5000 0.0000
W 0.2500 0.7500 0.5000
N 0.2405 0.6447 0.1485
N 0.3553 0.5037 0.5958
N 0.4963 0.0920 0.8515
N 0.9080 0.7595 0.4042

The 10 most intense peaks (10 to 80 degrees two-theta), sorted by position:
two_theta, intensity
17.64, 82
28.75, 100
29.48, 41
33.29, 13
34.57, 24
42.18, 18
45.06, 16
50.49, 23
51.85, 38
59.55, 13

***

# KPaZnN3
Simulated powder XRD pattern, λ = 1.5418 Å (Cu Kα). Input: a structure optimized by DFT (GGA-PBE).

abc: 7.9124 3.6090 8.2469
angles: 90.00 105.61 90.00
Positions (direct):
K 0.2030 0.2500 0.2216
K 0.7970 0.7500 0.7784
Pa 0.3328 0.7500 0.8497
Pa 0.6672 0.2500 0.1503
Zn 0.0663 0.2500 0.6163
Zn 0.9337 0.7500 0.3837
N 0.1621 0.2500 0.8646
N 0.1633 0.7500 0.5619
N 0.4795 0.7500 0.1265
N 0.5205 0.2500 0.8735
N 0.8367 0.2500 0.4381
N 0.8379 0.7500 0.1354

The 10 most intense peaks (10 to 80 degrees two-theta), sorted by position:
two_theta, intensity
11.14, 17
13.77, 100
27.14, 14
27.74, 24
28.58, 12
30.81, 20
33.55, 23
33.99, 22
34.22, 23
41.37, 13